Entry 1:
# Ag2TeCl4
Simulated powder XRD pattern, Cu Ka. Input: a cell relaxed with GGA-PBE.

Main lines, sorted by position (10° ≤ 2θ ≤ 90°):
17.67 deg, intensity 37
25.57 deg, intensity 24
30.66 deg, intensity 100
31.25 deg, intensity 26
35.79 deg, intensity 20
36.47 deg, intensity 56
48.37 deg, intensity 53
52.53 deg, intensity 18
57.41 deg, intensity 14
74.18 deg, intensity 14

Crystal structure
Cell lengths 6.1121, 6.1121, 6.1121 Å; angles 110.50, 110.50, 107.44 degrees
Positions (direct):
Ag  0.2500  0.7500  0.5000
Ag  0.7500  0.2500  0.5000
Te  0.0000  0.0000  0.0000
Cl  0.2017  0.6771  0.0000
Cl  0.3229  0.3229  0.5246
Cl  0.6771  0.2017  0.0000
Cl  0.7983  0.7983  0.4754

---

Entry 2:
# HfZnNiRh
Simulated powder XRD pattern, Cu Ka. Input: a cell relaxed with GGA-PBE.

Main lines, sorted by position (10° ≤ 2θ ≤ 90°):
25.12 deg, intensity 24
40.27 deg, intensity 100
44.14 deg, intensity 38
44.45 deg, intensity 6
51.48 deg, intensity 9
51.92 deg, intensity 12
64.20 deg, intensity 12
70.47 deg, intensity 18
78.57 deg, intensity 27
87.02 deg, intensity 11

Crystal structure
Cell lengths 4.5633, 4.5633, 4.5633 Å; angles 126.57, 126.57, 78.96 degrees
Positions (direct):
Hf  0.0000  0.0000  0.0000
Zn  0.5000  0.5000  0.0000
Ni  0.7500  0.2500  0.5000
Rh  0.2500  0.7500  0.5000

---

Entry 3:
# Dy2Hf2Ni15
Simulated powder XRD pattern, Cu Ka. Input: a cell relaxed with GGA-PBE.

Main lines, sorted by position (10° ≤ 2θ ≤ 90°):
21.12 deg, intensity 25
31.00 deg, intensity 33
37.01 deg, intensity 50
37.82 deg, intensity 45
43.01 deg, intensity 100
43.20 deg, intensity 14
43.72 deg, intensity 48
48.42 deg, intensity 26
62.98 deg, intensity 16
78.80 deg, intensity 17

Crystal structure
Cell lengths 6.4144, 6.4144, 6.4144 Å; angles 81.98, 81.98, 81.98 degrees
Positions (direct):
Dy  0.1434  0.1434  0.1434
Dy  0.8566  0.8566  0.8566
Hf  0.3912  0.3912  0.3912
Hf  0.6088  0.6088  0.6088
Ni  0.0000  0.5000  0.5000
Ni  0.1532  0.1532  0.6588
Ni  0.1532  0.6588  0.1532
Ni  0.2003  0.5000  0.7997
Ni  0.2003  0.7997  0.5000
Ni  0.3412  0.8468  0.8468
Ni  0.5000  0.0000  0.5000
Ni  0.5000  0.2003  0.7997
Ni  0.5000  0.5000  0.0000
Ni  0.5000  0.7997  0.2003
Ni  0.6588  0.1532  0.1532
Ni  0.7997  0.2003  0.5000
Ni  0.7997  0.5000  0.2003
Ni  0.8468  0.3412  0.8468
Ni  0.8468  0.8468  0.3412

---

Entry 4:
# Sm6Y2Er3Th
Simulated powder XRD pattern, Cu Ka. Input: a cell relaxed with GGA-PBE.

Main lines, sorted by position (10° ≤ 2θ ≤ 90°):
30.54 deg, intensity 100
35.41 deg, intensity 51
50.94 deg, intensity 36
60.55 deg, intensity 32
60.62 deg, intensity 11
63.54 deg, intensity 9
82.97 deg, intensity 10
83.09 deg, intensity 7
85.63 deg, intensity 8
85.73 deg, intensity 8

Crystal structure
Cell lengths 6.2121, 6.2121, 11.8779 Å; angles 95.01, 95.01, 119.96 degrees
Positions (direct):
Sm  0.0845  0.4141  0.7513
Sm  0.2450  0.2450  0.2489
Sm  0.4141  0.0845  0.7513
Sm  0.5859  0.9155  0.2487
Sm  0.7550  0.7550  0.7511
Sm  0.9155  0.5859  0.2487
Y  0.3333  0.6667  0.5000
Y  0.6667  0.3333  0.5000
Er  0.1671  0.8329  0.0000
Er  0.5000  0.5000  0.0000
Er  0.8329  0.1671  0.0000
Th  0.0000  0.0000  0.5000

---

Entry 5:
# Ba2InTeS6
Simulated powder XRD pattern, Cu Ka. Input: a cell relaxed with GGA-PBE.

Main lines, sorted by position (10° ≤ 2θ ≤ 90°):
24.47 deg, intensity 39
24.61 deg, intensity 100
24.74 deg, intensity 100
25.10 deg, intensity 55
35.01 deg, intensity 53
35.34 deg, intensity 63
36.44 deg, intensity 26
43.18 deg, intensity 39
43.84 deg, intensity 31
44.07 deg, intensity 30

Crystal structure
Cell lengths 7.0965, 7.2763, 12.4270 Å; angles 90.00, 124.40, 90.00 degrees
Positions (direct):
Ba  0.2287  0.0782  0.2479
Ba  0.2287  0.4218  0.7479
Ba  0.7713  0.5782  0.2521
Ba  0.7713  0.9218  0.7521
In  0.0000  0.0000  0.5000
In  0.0000  0.5000  0.0000
Te  0.5000  0.0000  0.0000
Te  0.5000  0.5000  0.5000
S  0.1592  0.1964  0.9563
S  0.1592  0.3036  0.4563
S  0.2708  0.6948  0.9651
S  0.2708  0.8052  0.4651
S  0.3289  0.5179  0.2529
S  0.3289  0.9821  0.7529
S  0.6711  0.0179  0.2471
S  0.6711  0.4821  0.7471
S  0.7292  0.1948  0.5349
S  0.7292  0.3052  0.0349
S  0.8408  0.6964  0.5437
S  0.8408  0.8036  0.0437

---

Entry 6:
# BaLaMgBiO6
Simulated powder XRD pattern, Cu Ka. Input: a cell relaxed with GGA-PBE.

Main lines, sorted by position (10° ≤ 2θ ≤ 90°):
18.52 deg, intensity 31
30.47 deg, intensity 100
35.90 deg, intensity 20
43.63 deg, intensity 30
47.78 deg, intensity 9
54.15 deg, intensity 41
57.74 deg, intensity 7
63.42 deg, intensity 19
71.98 deg, intensity 18
88.10 deg, intensity 23

Crystal structure
Cell lengths 5.8670, 5.8670, 5.8670 Å; angles 60.00, 60.00, 60.00 degrees
Positions (direct):
Ba  0.0000  0.0000  0.0000
La  0.5000  0.5000  0.5000
Mg  0.7500  0.7500  0.7500
Bi  0.2500  0.2500  0.2500
O  0.5030  0.5030  0.9970
O  0.5030  0.9970  0.5030
O  0.5030  0.9970  0.9970
O  0.9970  0.5030  0.5030
O  0.9970  0.5030  0.9970
O  0.9970  0.9970  0.5030